[1]
# Y2Er4CuTe2
Computed PXRD pattern, λ = 1.5418 Å (Cu Kα). Input: a cell relaxed with GGA-PBE.

Largest 6 diffraction maxima, by intensity, 2θ from 10° to 80°:
- 2θ = 31.2°, 2.863 Å, I = 100
- 2θ = 33.7°, 2.663 Å, I = 74
- 2θ = 32.7°, 2.739 Å, I = 53
- 2θ = 40.2°, 2.246 Å, I = 48
- 2θ = 57.8°, 1.596 Å, I = 33
- 2θ = 32.8°, 2.732 Å, I = 29

Lattice parameters (Å, degrees): 3.9301 8.3678 8.3678 120.19 90.00 90.00
Fractional coordinates of all 9 atoms:
Y1 0.0000 0.2015 0.7985
Y2 0.0000 0.7985 0.2015
Er1 0.0000 0.3962 0.3962
Er2 0.5000 0.0413 0.0413
Er3 0.5000 0.5563 0.7973
Er4 0.5000 0.7973 0.5563
Cu1 0.0000 0.7979 0.7979
Te1 0.5000 0.1324 0.4651
Te2 0.5000 0.4651 0.1324

[2]
# SmReNO
Computed PXRD pattern, λ = 1.5418 Å (Cu Kα). Input: a cell relaxed with GGA-PBE.

Largest 6 diffraction maxima, by intensity, 2θ from 10° to 80°:
- 2θ = 32.2°, 2.778 Å, I = 100
- 2θ = 10.7°, 8.237 Å, I = 92
- 2θ = 36.6°, 2.455 Å, I = 90
- 2θ = 26.0°, 3.422 Å, I = 87
- 2θ = 38.6°, 2.332 Å, I = 86
- 2θ = 32.6°, 2.746 Å, I = 83

Lattice parameters (Å, degrees): 5.5177 8.2371 5.1432 90.00 90.00 90.00
Fractional coordinates of all 16 atoms:
Sm1 0.0137 0.1493 0.0000
Sm2 0.4863 0.1493 0.5000
Sm3 0.5137 0.8507 0.0000
Sm4 0.9863 0.8507 0.5000
Re1 0.1239 0.4865 0.7143
Re2 0.3761 0.4865 0.2143
Re3 0.6239 0.5135 0.7143
Re4 0.8761 0.5135 0.2143
N1 0.0984 0.3514 0.3863
N2 0.4016 0.3514 0.8863
N3 0.5984 0.6486 0.3863
N4 0.9016 0.6486 0.8863
O1 0.2493 0.9883 0.2466
O2 0.2507 0.9883 0.7466
O3 0.7493 0.0117 0.2466
O4 0.7507 0.0117 0.7466

[3]
# ScAg5
Computed PXRD pattern, λ = 1.5418 Å (Cu Kα). Input: a cell relaxed with GGA-PBE.

Largest 6 diffraction maxima, by intensity, 2θ from 10° to 80°:
- 2θ = 39.1°, 2.305 Å, I = 100
- 2θ = 40.9°, 2.207 Å, I = 53
- 2θ = 63.2°, 1.471 Å, I = 30
- 2θ = 69.6°, 1.351 Å, I = 27
- 2θ = 20.1°, 4.413 Å, I = 24
- 2θ = 33.1°, 2.703 Å, I = 17

Lattice parameters (Å, degrees): 5.4052 5.4052 5.4052 60.00 60.00 60.00
Fractional coordinates of all 6 atoms:
Sc1 0.0000 0.0000 0.0000
Ag1 0.3751 0.3751 0.3751
Ag2 0.3751 0.3751 0.8746
Ag3 0.3751 0.8746 0.3751
Ag4 0.7500 0.7500 0.7500
Ag5 0.8746 0.3751 0.3751

[4]
# K2Pd2S3
Computed PXRD pattern, λ = 1.5418 Å (Cu Kα). Input: a cell relaxed with GGA-PBE.

Largest 6 diffraction maxima, by intensity, 2θ from 10° to 80°:
- 2θ = 38.1°, 2.364 Å, I = 100
- 2θ = 24.6°, 3.612 Å, I = 76
- 2θ = 14.2°, 6.256 Å, I = 55
- 2θ = 52.8°, 1.735 Å, I = 29
- 2θ = 57.0°, 1.615 Å, I = 21
- 2θ = 65.0°, 1.435 Å, I = 19

Lattice parameters (Å, degrees): 7.6614 7.6614 7.6614 109.47 109.47 109.47
Fractional coordinates of all 14 atoms:
K1 0.0000 0.3010 0.5000
K2 0.1990 0.1990 0.1990
K3 0.3010 0.5000 0.0000
K4 0.5000 0.0000 0.3010
Pd1 0.0000 0.7191 0.5000
Pd2 0.5000 0.0000 0.7191
Pd3 0.7191 0.5000 0.0000
Pd4 0.7809 0.7809 0.7809
S1 0.0849 0.7500 0.8349
S2 0.2500 0.6651 0.4151
S3 0.4151 0.2500 0.6651
S4 0.6651 0.4151 0.2500
S5 0.7500 0.8349 0.0849
S6 0.8349 0.0849 0.7500

[5]
# TcO2
Computed PXRD pattern, λ = 1.5418 Å (Cu Kα). Input: a cell relaxed with GGA-PBE.

Largest 6 diffraction maxima, by intensity, 2θ from 10° to 80°:
- 2θ = 26.3°, 3.389 Å, I = 100
- 2θ = 37.2°, 2.416 Å, I = 65
- 2θ = 53.9°, 1.701 Å, I = 57
- 2θ = 54.1°, 1.695 Å, I = 19
- 2θ = 37.5°, 2.396 Å, I = 18
- 2θ = 67.5°, 1.387 Å, I = 17

Lattice parameters (Å, degrees): 4.7928 4.7928 2.7970 90.00 90.00 90.00
Fractional coordinates of all 6 atoms:
Tc1 0.0000 0.0000 0.0000
Tc2 0.5000 0.5000 0.5000
O1 0.2143 0.2143 0.5000
O2 0.2857 0.7143 0.0000
O3 0.7143 0.2857 0.0000
O4 0.7857 0.7857 0.5000

Copy entry 3 word for word.
# ScAg5
Computed PXRD pattern, λ = 1.5418 Å (Cu Kα). Input: a cell relaxed with GGA-PBE.

Largest 6 diffraction maxima, by intensity, 2θ from 10° to 80°:
- 2θ = 39.1°, 2.305 Å, I = 100
- 2θ = 40.9°, 2.207 Å, I = 53
- 2θ = 63.2°, 1.471 Å, I = 30
- 2θ = 69.6°, 1.351 Å, I = 27
- 2θ = 20.1°, 4.413 Å, I = 24
- 2θ = 33.1°, 2.703 Å, I = 17

Lattice parameters (Å, degrees): 5.4052 5.4052 5.4052 60.00 60.00 60.00
Fractional coordinates of all 6 atoms:
Sc1 0.0000 0.0000 0.0000
Ag1 0.3751 0.3751 0.3751
Ag2 0.3751 0.3751 0.8746
Ag3 0.3751 0.8746 0.3751
Ag4 0.7500 0.7500 0.7500
Ag5 0.8746 0.3751 0.3751